(1)
GaCo4PC2: calculated powder XRD pattern (Cu Kα), based on the GGA-PBE geometry in OQMD.
Peak positions follow from Bragg's law for the DFT cell and can differ from measured ones.

Peak list (10 most intense, 15° ≤ 2θ ≤ 90°, by angle)
2.541 Å, rel. 27; 2.308 Å, rel. 10; 2.090 Å, rel. 100; 1.839 Å, rel. 10; 1.490 Å, rel. 10; 1.467 Å, rel. 23; 1.212 Å, rel. 6; 1.201 Å, rel. 15; 1.147 Å, rel. 12; 1.104 Å, rel. 6

Structure:
a b c (Å): 2.934 2.934 11.032
angles (deg): 90.00 90.00 120.00
Fractional positions:
1 Ga 0.000 0.000 0.000
2 Co 0.000 0.000 0.354
3 Co 0.000 0.000 0.646
4 Co 0.667 0.333 0.181
5 Co 0.667 0.333 0.819
6 P 0.667 0.333 0.500
7 C 0.333 0.667 0.257
8 C 0.333 0.667 0.743

(2)
HoTm2Mg3Tl2Cd: calculated powder XRD pattern (Cu Kα), based on the GGA-PBE geometry in OQMD.
Peak positions follow from Bragg's law for the DFT cell and can differ from measured ones.

Peak list (10 most intense, 15° ≤ 2θ ≤ 90°, by angle)
3.754 Å, rel. 45; 2.906 Å, rel. 80; 2.653 Å, rel. 100; 2.295 Å, rel. 26; 2.169 Å, rel. 22; 2.165 Å, rel. 26; 1.680 Å, rel. 15; 1.576 Å, rel. 16; 1.420 Å, rel. 18; 1.418 Å, rel. 21

Structure:
a b c (Å): 4.591 7.516 7.516
angles (deg): 120.18 90.00 90.00
Fractional positions:
1 Ho 0.000 0.000 0.000
2 Tm 0.000 0.428 0.855
3 Tm 0.000 0.855 0.428
4 Mg 0.500 0.188 0.428
5 Mg 0.500 0.428 0.188
6 Mg 0.500 0.668 0.668
7 Tl 0.500 0.095 0.760
8 Tl 0.500 0.760 0.095
9 Cd 0.000 0.430 0.430

(3)
SmI2O8: calculated powder XRD pattern (Cu Kα), based on the GGA-PBE geometry in OQMD.
Peak positions follow from Bragg's law for the DFT cell and can differ from measured ones.

Peak list (10 most intense, 15° ≤ 2θ ≤ 90°, by angle)
3.739 Å, rel. 100; 3.148 Å, rel. 61; 2.408 Å, rel. 21; 2.324 Å, rel. 23; 1.913 Å, rel. 30; 1.870 Å, rel. 16; 1.818 Å, rel. 12; 1.608 Å, rel. 14; 1.504 Å, rel. 13; 1.451 Å, rel. 14

Structure:
a b c (Å): 6.297 6.297 5.137
angles (deg): 90.00 90.00 120.00
Fractional positions:
1 Sm 0.000 0.000 0.000
2 I 0.333 0.667 0.354
3 I 0.667 0.333 0.646
4 O 0.163 0.817 0.251
5 O 0.183 0.346 0.251
6 O 0.333 0.667 0.702
7 O 0.346 0.163 0.749
8 O 0.654 0.837 0.251
9 O 0.667 0.333 0.298
10 O 0.817 0.654 0.749
11 O 0.837 0.183 0.749

(4)
Nb4GaSe4S4: calculated powder XRD pattern (Cu Kα), based on the GGA-PBE geometry in OQMD.
Peak positions follow from Bragg's law for the DFT cell and can differ from measured ones.

Peak list (10 most intense, 15° ≤ 2θ ≤ 90°, by angle)
5.902 Å, rel. 55; 3.082 Å, rel. 87; 2.556 Å, rel. 100; 2.345 Å, rel. 20; 2.087 Å, rel. 37; 1.967 Å, rel. 57; 1.807 Å, rel. 88; 1.366 Å, rel. 17; 1.331 Å, rel. 22; 1.205 Å, rel. 24

Structure:
a b c (Å): 7.228 7.228 7.228
angles (deg): 60.00 60.00 60.00
Fractional positions:
1 Nb 0.393 0.393 0.393
2 Nb 0.393 0.393 0.820
3 Nb 0.393 0.820 0.393
4 Nb 0.820 0.393 0.393
5 Ga 0.000 0.000 0.000
6 Se 0.087 0.638 0.638
7 Se 0.638 0.087 0.638
8 Se 0.638 0.638 0.087
9 Se 0.638 0.638 0.638
10 S 0.133 0.133 0.133
11 S 0.133 0.133 0.600
12 S 0.133 0.600 0.133
13 S 0.600 0.133 0.133

(5)
Hf3CdB4: calculated powder XRD pattern (Cu Kα), based on the GGA-PBE geometry in OQMD.
Peak positions follow from Bragg's law for the DFT cell and can differ from measured ones.

Peak list (10 most intense, 15° ≤ 2θ ≤ 90°, by angle)
3.459 Å, rel. 44; 2.774 Å, rel. 20; 2.613 Å, rel. 100; 2.322 Å, rel. 22; 2.307 Å, rel. 65; 2.263 Å, rel. 60; 2.085 Å, rel. 46; 1.453 Å, rel. 36; 1.442 Å, rel. 32; 1.304 Å, rel. 21

Structure:
a b c (Å): 3.160 3.459 9.286
angles (deg): 90.00 90.00 90.00
Fractional positions:
1 Hf 0.000 0.000 0.000
2 Hf 0.500 0.000 0.291
3 Hf 0.500 0.000 0.709
4 Cd 0.000 0.500 0.500
5 B 0.000 0.500 0.195
6 B 0.000 0.500 0.805
7 B 0.500 0.500 0.102
8 B 0.500 0.500 0.898

(6)
Gd2HoB2Pd2N3: calculated powder XRD pattern (Cu Kα), based on the GGA-PBE geometry in OQMD.
Peak positions follow from Bragg's law for the DFT cell and can differ from measured ones.

Peak list (10 most intense, 15° ≤ 2θ ≤ 90°, by angle)
3.215 Å, rel. 95; 2.715 Å, rel. 100; 2.536 Å, rel. 64; 2.504 Å, rel. 86; 2.302 Å, rel. 56; 2.053 Å, rel. 30; 1.827 Å, rel. 54; 1.596 Å, rel. 36; 1.516 Å, rel. 35; 1.482 Å, rel. 48

Structure:
a b c (Å): 10.468 10.468 10.468
angles (deg): 159.90 159.90 28.58
Fractional positions:
1 Gd 0.119 0.119 0.000
2 Gd 0.881 0.881 0.000
3 Ho 0.500 0.500 0.000
4 B 0.316 0.316 0.000
5 B 0.684 0.684 0.000
6 Pd 0.250 0.750 0.500
7 Pd 0.750 0.250 0.500
8 N 0.000 0.000 0.000
9 N 0.386 0.386 0.000
10 N 0.614 0.614 0.000